# Ac8La6Th
Calculated PXRD pattern, CuKα. Input: a structure optimized by DFT (PBE).

abc: 10.1362 10.1362 7.1845
angles: 90.00 90.00 120.00
Space group P-3 (No. 147)
Asymmetric unit:
Ac 0.0204 0.3188 0.1259 [6 per cell]
Ac 0.3333 0.6667 0.7972 [2 per cell]
La 0.0527 0.6687 0.3905 [6 per cell]
Th 0.0000 0.0000 0.5000 [1 per cell]

Main lines, low angle first (10 to 90 degrees two-theta):
h k l, two_theta, intensity
1 1 1, 21.46, 8
2 0 1, 23.76, 21
3 -2 1, 29.66, 22
3 0 0, 30.53, 100
4 -2 2, 43.72, 12
5 -3 1, 46.84, 16
3 0 3, 49.18, 9
5 0 1, 53.72, 8
2 -1 4, 54.23, 16
5 1 1, 60.07, 9

# AcLa6Th2
Calculated PXRD pattern, CuKα. Input: a structure optimized by DFT (PBE).

abc: 3.6948 3.6948 27.9760
angles: 90.00 90.00 120.00
Space group P-6m2 (No. 187)
Asymmetric unit:
Ac 0.0000 0.0000 0.0000 [1 per cell]
La 0.0000 0.0000 0.2279 [2 per cell]
La 0.0000 0.0000 0.4376 [2 per cell]
La 0.3333 0.6667 0.1148 [2 per cell]
Th 0.3333 0.6667 0.3335 [2 per cell]

Main lines, low angle first (10 to 90 degrees two-theta):
h k l, two_theta, intensity
1 0 0, 27.88, 53
0 0 9, 28.72, 62
1 0 4, 30.73, 100
1 0 5, 32.23, 92
1 0 6, 33.98, 23
1 0 9, 40.46, 37
1 1 0, 49.33, 45
1 0 13, 51.15, 22
1 0 14, 54.11, 21
1 1 9, 58.08, 55

# Ac3La7Tl2
Calculated PXRD pattern, CuKα. Input: a structure optimized by DFT (PBE).

abc: 5.2552 4.8624 18.2027
angles: 90.00 98.27 90.00
Space group P2/m (No. 10)
Asymmetric unit:
Ac 0.0000 0.0000 0.0000 [1 per cell]
Ac 0.3267 0.5000 0.6529 [2 per cell]
La 0.0771 0.5000 0.1557 [2 per cell]
La 0.2263 0.0000 0.4517 [2 per cell]
La 0.4215 0.0000 0.8417 [2 per cell]
La 0.5000 0.5000 0.0000 [1 per cell]
Tl 0.1388 0.0000 0.2787 [2 per cell]

Main lines, low angle first (10 to 90 degrees two-theta):
h k l, two_theta, intensity
1 1 1, 26.05, 32
0 1 4, 26.99, 28
1 1 -3, 27.90, 100
1 0 4, 28.02, 20
1 1 3, 30.48, 78
1 0 5, 32.20, 25
2 0 -1, 34.12, 46
0 2 0, 36.97, 37
1 2 5, 49.82, 20
2 2 -1, 51.19, 30

# Ac3La2Tl3
Calculated PXRD pattern, CuKα. Input: a structure optimized by DFT (PBE).

abc: 4.5900 5.4597 22.7596
angles: 90.00 90.00 90.00
Space group Immm (No. 71)
Asymmetric unit:
Ac 0.0000 0.0000 0.0000 [2 per cell]
Ac 0.0000 0.5000 0.1210 [4 per cell]
La 0.0000 0.0000 0.2349 [4 per cell]
Tl 0.0000 0.0000 0.5000 [2 per cell]
Tl 0.0000 0.5000 0.3712 [4 per cell]

Main lines, low angle first (10 to 90 degrees two-theta):
h k l, two_theta, intensity
1 1 4, 29.89, 100
0 0 8, 31.45, 20
0 2 0, 32.81, 20
2 0 0, 39.26, 13
0 2 8, 46.08, 14
2 2 0, 52.06, 11
1 1 12, 55.03, 16
1 3 4, 56.77, 17
2 2 8, 62.10, 12
3 1 4, 65.44, 11

# AcLa5Tl6
Calculated PXRD pattern, CuKα. Input: a structure optimized by DFT (PBE).

abc: 5.6982 17.0862 7.9613
angles: 90.00 90.00 90.00
Space group Cmmm (No. 65)
Asymmetric unit:
Ac 0.0000 0.0000 0.0000 [2 per cell]
La 0.0000 0.0000 0.5000 [2 per cell]
La 0.0000 0.3330 0.0000 [4 per cell]
La 0.0000 0.3343 0.5000 [4 per cell]
Tl 0.0000 0.1690 0.2535 [8 per cell]
Tl 0.0000 0.5000 0.2556 [4 per cell]

Main lines, low angle first (10 to 90 degrees two-theta):
h k l, two_theta, intensity
2 0 0, 31.41, 51
1 3 2, 31.60, 100
2 6 0, 45.01, 19
0 0 4, 45.58, 9
3 3 2, 56.03, 40
2 0 4, 56.40, 20
2 6 4, 65.99, 12
4 6 0, 74.49, 9
3 9 2, 74.59, 9
1 3 6, 75.43, 8

# Ac3La2Tl4
Calculated PXRD pattern, CuKα. Input: a structure optimized by DFT (PBE).

abc: 9.9201 5.7227 10.9928
angles: 90.00 90.05 90.00
Space group C2/m (No. 12)
Asymmetric unit:
Ac 0.0000 0.0000 0.0000 [2 per cell]
Ac 0.1666 0.5000 0.5811 [4 per cell]
La 0.1668 0.5000 0.2141 [4 per cell]
Tl 0.0002 0.0000 0.3425 [4 per cell]
Tl 0.1666 0.5000 0.8976 [4 per cell]

Main lines, low angle first (10 to 90 degrees two-theta):
h k l, two_theta, intensity
2 0 3, 30.33, 100
3 1 0, 31.25, 99
2 2 3, 44.11, 37
1 1 6, 53.31, 19
5 1 3, 55.04, 38
6 0 0, 55.61, 20
4 0 6, 63.10, 11
6 2 0, 65.18, 12
4 2 6, 72.10, 15
5 3 3, 73.57, 16

# Ac6La2Tl
Calculated PXRD pattern, CuKα. Input: a structure optimized by DFT (PBE).

abc: 10.3809 10.3809 3.9864
angles: 90.00 90.00 120.00
Space group P-62m (No. 189)
Asymmetric unit:
Ac 0.0000 0.3752 0.0000 [3 per cell]
Ac 0.0000 0.7241 0.5000 [3 per cell]
La 0.3333 0.6667 0.5000 [2 per cell]
Tl 0.0000 0.0000 0.0000 [1 per cell]

Main lines, low angle first (10 to 90 degrees two-theta):
h k l, two_theta, intensity
2 1 0, 26.23, 36
1 1 1, 28.23, 100
3 0 0, 29.81, 82
2 0 1, 29.96, 45
2 1 1, 34.69, 26
2 2 1, 41.52, 17
0 0 2, 45.51, 14
3 2 1, 49.78, 38
3 0 2, 55.36, 30
5 1 1, 62.00, 13

# AcLa4Tl4
Calculated PXRD pattern, CuKα. Input: a structure optimized by DFT (PBE).

abc: 9.7536 9.7536 6.3582
angles: 90.00 90.00 90.00
Space group P4_2/n (No. 86, origin choice 2)
Asymmetric unit:
Ac 0.2500 0.2500 0.2500 [2 per cell]
La 0.0896 0.8277 0.6287 [8 per cell]
Tl 0.0399 0.1400 0.8551 [8 per cell]

Main lines, low angle first (10 to 90 degrees two-theta):
h k l, two_theta, intensity
2 1 1, 24.75, 39
3 1 0, 28.95, 97
1 0 2, 29.52, 97
3 0 1, 30.90, 100
1 3 1, 32.26, 21
2 1 2, 34.92, 83
2 3 1, 36.08, 68
5 0 2, 55.24, 31
6 1 1, 59.45, 24
5 4 1, 62.72, 27